Diffraction record for K2Be2Zn2Si3O11. The X-ray diffraction stick pattern is simulated, not measured: it uses a cell relaxed with PBE and Cu Kα X-rays.
No peak broadening, texture or thermal motion is included.

The 10 most intense peaks (10° ≤ 2θ ≤ 80°), by intensity:
d 2.703, 33.14°, I = 100; d 8.106, 10.91°, I = 60; d 3.118, 28.63°, I = 56; d 7.441, 11.89°, I = 44; d 2.682, 33.41°, I = 42; d 2.844, 31.45°, I = 40; d 3.081, 28.98°, I = 36; d 3.076, 29.03°, I = 28; d 2.501, 35.91°, I = 25; d 2.948, 30.32°, I = 22

Cell and atoms:
Cell: 9.494 9.494 9.494 Å, 138.32 118.80 76.79°
Element x y z (fractional)
K 0.111 0.361 0.750
K 0.300 0.050 0.250
K 0.700 0.950 0.750
K 0.889 0.639 0.250
Be 0.000 0.326 0.326
Be 0.000 0.674 0.674
Be 0.500 0.326 0.826
Be 0.500 0.674 0.174
Zn 0.349 0.000 0.849
Zn 0.349 0.500 0.349
Zn 0.651 0.000 0.151
Zn 0.651 0.500 0.651
Si 0.044 0.135 0.909
Si 0.274 0.865 0.409
Si 0.347 0.597 0.750
Si 0.653 0.403 0.250
Si 0.726 0.135 0.591
Si 0.956 0.865 0.091
O 0.014 0.280 0.135
O 0.014 0.879 0.734
O 0.074 0.824 0.250
O 0.146 0.535 0.611
O 0.233 0.227 0.006
O 0.279 0.773 0.506
O 0.355 0.121 0.635
O 0.355 0.720 0.234
O 0.410 0.460 0.550
O 0.410 0.860 0.950
O 0.424 0.535 0.889
O 0.576 0.465 0.111
O 0.590 0.140 0.050
O 0.590 0.540 0.450
O 0.645 0.280 0.766
O 0.645 0.879 0.365
O 0.721 0.227 0.494
O 0.767 0.773 0.994
O 0.854 0.465 0.389
O 0.926 0.176 0.750
O 0.986 0.121 0.266
O 0.986 0.720 0.865